# TbH4Pt
Computed powder diffraction line list, Cu Kα (weighted mean of Kα1 and Kα2). Input: a cell relaxed with GGA-PBE.

Peak list (10 most intense, 5 to 70 degrees two-theta, by angle)
2theta	d/Å	Rel. int.
27.1	3.289	66
29.4	3.042	100
36.9	2.434	23
40.4	2.233	86
46.4	1.957	25
46.6	1.948	16
54.8	1.676	19
64.4	1.447	22
67.9	1.380	16
68.9	1.363	20

Structural model:
Cell lengths 3.896, 6.579, 4.868 Å; angles 90.00, 90.00, 90.00 degrees
Positions (direct):
1 Tb 0.250 0.250 0.205
2 Tb 0.750 0.750 0.795
3 H 0.250 0.250 0.713
4 H 0.250 0.580 0.013
5 H 0.250 0.750 0.616
6 H 0.250 0.920 0.013
7 H 0.750 0.080 0.987
8 H 0.750 0.250 0.384
9 H 0.750 0.420 0.987
10 H 0.750 0.750 0.287
11 Pt 0.250 0.750 0.276
12 Pt 0.750 0.250 0.724